# 1
The following is a calculated powder X-ray diffraction pattern of MnBiO3. It was derived from a DFT-relaxed cell (PBE+U, the Materials Project), using Cu Kα (weighted mean of Kα1 and Kα2).
No peak broadening, texture or thermal motion is included.

Atomic structure:
```
MnBiO3
1.0
4.842 -2.841 0.000
4.842 2.841 0.000
-3.494 0.000 9.353
Mn Bi O
4 4 12
direct
0.003 0.499 0.750
0.223 0.777 0.500
0.499 0.003 0.250
0.777 0.223 0.000
0.076 0.650 0.124
0.345 0.923 0.878
0.650 0.076 0.624
0.923 0.345 0.378
0.089 0.726 0.670
0.120 0.184 0.588
0.184 0.120 0.088
0.275 0.915 0.330
0.290 0.412 0.379
0.412 0.290 0.879
0.598 0.697 0.615
0.697 0.598 0.115
0.726 0.089 0.170
0.812 0.903 0.414
0.903 0.812 0.914
0.915 0.275 0.830
```

Peak list (10 most intense, 2θ = 10–90°, sorted by position)
2θ 22.0, d 4.038, rel. 264; 2θ 22.3, d 3.991, rel. 465; 2θ 31.1, d 2.872, rel. 739; 2θ 31.5, d 2.841, rel. 297; 2θ 31.9, d 2.805, rel. 1000; 2θ 38.8, d 2.324, rel. 181; 2θ 44.9, d 2.019, rel. 187; 2θ 45.5, d 1.995, rel. 314; 2θ 55.9, d 1.645, rel. 398; 2θ 57.4, d 1.607, rel. 155


# 2
The following is a calculated powder X-ray diffraction pattern of MnBiO3. It was derived from a DFT-relaxed cell (PBE+U, the Materials Project), using Cu Kα (weighted mean of Kα1 and Kα2).
No peak broadening, texture or thermal motion is included.

Atomic structure:
```
MnBiO3
1.0
5.737 0.000 0.000
0.000 7.757 0.000
0.000 0.000 5.603
Mn Bi O
4 4 12
direct
0.000 0.000 0.000
0.000 0.500 0.000
0.500 0.000 0.500
0.500 0.500 0.500
0.045 0.250 0.494
0.455 0.750 0.994
0.545 0.250 0.006
0.955 0.750 0.506
0.035 0.750 0.104
0.211 0.549 0.675
0.211 0.951 0.675
0.289 0.049 0.175
0.289 0.451 0.175
0.465 0.250 0.604
0.535 0.750 0.396
0.711 0.549 0.825
0.711 0.951 0.825
0.789 0.049 0.325
0.789 0.451 0.325
0.965 0.250 0.896
```

Peak list (10 most intense, 2θ = 10–90°, sorted by position)
2θ 22.2, d 4.009, rel. 364; 2θ 22.9, d 3.878, rel. 187; 2θ 31.2, d 2.869, rel. 223; 2θ 31.9, d 2.801, rel. 271; 2θ 32.1, d 2.787, rel. 1000; 2θ 39.7, d 2.271, rel. 145; 2θ 45.2, d 2.004, rel. 214; 2θ 46.8, d 1.940, rel. 205; 2θ 56.1, d 1.640, rel. 133; 2θ 57.0, d 1.615, rel. 240